Simulated powder X-ray diffraction pattern
Compound: PaMo2ClO8
Radiation: Cu Kα (weighted mean of Kα1 and Kα2)
Structure: a DFT-relaxed cell (GGA+U, Alexandria)
Kinematic intensities with the Lorentz-polarization factor, no thermal factor.

Crystal structure
```
data_PaMo2ClO8
_chemical_formula_sum 'Pa2 Mo4 Cl2 O16'
_symmetry_space_group_name_H-M 'C 1 2/m 1'
_symmetry_Int_Tables_number 12
_symmetry_space_group_name_Hall '-C 2y'
_cell_length_a 11.443
_cell_length_b 6.599
_cell_length_c 5.765
_cell_angle_alpha 90.00
_cell_angle_beta 90.31
_cell_angle_gamma 90.00
loop_
_atom_site_label
_atom_site_type_symbol
_atom_site_fract_x
_atom_site_fract_y
_atom_site_fract_z
Pa1 Pa 0.000 0.000 0.000
Mo1 Mo 0.167 0.500 0.244
Cl1 Cl 0.000 0.000 0.500
O1 O 0.091 0.274 0.143
O2 O 0.169 0.500 0.543
O3 O 0.183 0.000 0.859
```

Main lines, by angle (10 to 80 degrees two-theta):
hkl 1 1 0, 2θ = 15.50°, d = 5.718 Å, intensity 38
hkl 2 0 -1, 2θ = 21.83°, d = 4.072 Å, intensity 41
hkl 1 1 1, 2θ = 21.93°, d = 4.054 Å, intensity 82
hkl 3 1 0, 2θ = 27.01°, d = 3.301 Å, intensity 100
hkl 1 1 2, 2θ = 34.90°, d = 2.570 Å, intensity 33
hkl 2 2 2, 2θ = 44.71°, d = 2.027 Å, intensity 30